No. 1
# Tl5Pt2
Simulated X-ray diffraction stick pattern, a wavelength of 1.5418 Å. Input: a cell relaxed with GGA-PBE.

The 8 most intense peaks (5 to 70 degrees two-theta), low angle first:
| d_spacing | 2theta | I_rel |
| --- | --- | --- |
| 2.926 | 30.55 | 55 |
| 2.709 | 33.07 | 57 |
| 2.534 | 35.42 | 100 |
| 2.161 | 41.80 | 46 |
| 1.792 | 50.96 | 56 |
| 1.528 | 60.59 | 28 |
| 1.463 | 63.59 | 15 |
| 1.379 | 67.95 | 25 |

Cell lengths 8.779, 8.779, 8.779 Å; angles 109.47, 109.47, 109.47 degrees
Atoms (fractional coordinates):
Tl 0.000 0.268 0.732
Tl 0.000 0.500 0.500
Tl 0.000 0.732 0.268
Tl 0.268 0.000 0.732
Tl 0.268 0.268 0.536
Tl 0.268 0.536 0.268
Tl 0.268 0.732 0.000
Tl 0.464 0.732 0.732
Tl 0.500 0.000 0.500
Tl 0.500 0.500 0.000
Tl 0.536 0.268 0.268
Tl 0.732 0.000 0.268
Tl 0.732 0.268 0.000
Tl 0.732 0.464 0.732
Tl 0.732 0.732 0.464
Pt 0.000 0.198 0.198
Pt 0.000 0.802 0.802
Pt 0.198 0.000 0.198
Pt 0.198 0.198 0.000
Pt 0.802 0.000 0.802
Pt 0.802 0.802 0.000

=====

No. 2
# Tl4Pt3
Simulated X-ray diffraction stick pattern, a wavelength of 1.5418 Å. Input: a cell relaxed with GGA-PBE.

The 8 most intense peaks (5 to 70 degrees two-theta), low angle first:
| d_spacing | 2theta | I_rel |
| --- | --- | --- |
| 5.344 | 16.59 | 28 |
| 3.779 | 23.54 | 63 |
| 3.380 | 26.37 | 76 |
| 2.672 | 33.54 | 52 |
| 2.182 | 41.39 | 100 |
| 2.096 | 43.16 | 21 |
| 1.889 | 48.16 | 49 |
| 1.690 | 54.28 | 27 |

Cell lengths 7.558, 7.558, 7.558 Å; angles 90.00, 90.00, 90.00 degrees
Atoms (fractional coordinates):
Tl 0.250 0.250 0.250
Tl 0.250 0.250 0.750
Tl 0.250 0.750 0.250
Tl 0.250 0.750 0.750
Tl 0.750 0.250 0.250
Tl 0.750 0.250 0.750
Tl 0.750 0.750 0.250
Tl 0.750 0.750 0.750
Pt 0.000 0.250 0.500
Pt 0.000 0.750 0.500
Pt 0.250 0.500 0.000
Pt 0.500 0.000 0.250
Pt 0.500 0.000 0.750
Pt 0.750 0.500 0.000

=====

No. 3
# TlPt15
Simulated X-ray diffraction stick pattern, a wavelength of 1.5418 Å. Input: a cell relaxed with GGA-PBE.

The 8 most intense peaks (5 to 70 degrees two-theta), low angle first:
| d_spacing | 2theta | I_rel |
| --- | --- | --- |
| 17.178 | 5.14 | 100 |
| 2.436 | 36.90 | 19 |
| 2.306 | 39.05 | 43 |
| 2.252 | 40.03 | 62 |
| 2.070 | 43.74 | 12 |
| 1.988 | 45.63 | 28 |
| 1.946 | 46.68 | 20 |
| 1.391 | 67.32 | 18 |

Cell lengths 4.774, 34.355, 4.775 Å; angles 90.00, 109.27, 90.00 degrees
Atoms (fractional coordinates):
Tl 0.000 0.167 0.250
Tl 0.000 0.833 0.750
Pt 0.000 0.225 0.750
Pt 0.000 0.268 0.250
Pt 0.000 0.311 0.750
Pt 0.000 0.353 0.250
Pt 0.000 0.395 0.750
Pt 0.000 0.437 0.250
Pt 0.000 0.479 0.750
Pt 0.000 0.521 0.250
Pt 0.000 0.563 0.750
Pt 0.000 0.605 0.250
Pt 0.000 0.647 0.750
Pt 0.000 0.689 0.250
Pt 0.000 0.732 0.750
Pt 0.000 0.775 0.250
Pt 0.500 0.188 0.750
Pt 0.500 0.225 0.250
Pt 0.500 0.269 0.750
Pt 0.500 0.311 0.250
Pt 0.500 0.353 0.750
Pt 0.500 0.395 0.250
Pt 0.500 0.437 0.750
Pt 0.500 0.479 0.250
Pt 0.500 0.521 0.750
Pt 0.500 0.563 0.250
Pt 0.500 0.605 0.750
Pt 0.500 0.647 0.250
Pt 0.500 0.689 0.750
Pt 0.500 0.731 0.250
Pt 0.500 0.775 0.750
Pt 0.500 0.812 0.250

=====

No. 4
# TlPt7
Simulated X-ray diffraction stick pattern, a wavelength of 1.5418 Å. Input: a cell relaxed with GGA-PBE.

The 8 most intense peaks (5 to 70 degrees two-theta), low angle first:
| d_spacing | 2theta | I_rel |
| --- | --- | --- |
| 2.320 | 38.82 | 100 |
| 2.248 | 40.11 | 41 |
| 2.017 | 44.93 | 49 |
| 1.991 | 45.56 | 10 |
| 1.905 | 47.75 | 10 |
| 1.427 | 65.41 | 16 |
| 1.417 | 65.90 | 13 |
| 1.385 | 67.64 | 14 |

Cell lengths 2.854, 2.854, 43.805 Å; angles 90.00, 90.00, 90.00 degrees
Atoms (fractional coordinates):
Tl 0.250 0.250 0.160
Tl 0.750 0.750 0.840
Pt 0.250 0.250 0.259
Pt 0.250 0.250 0.347
Pt 0.250 0.250 0.434
Pt 0.250 0.250 0.522
Pt 0.250 0.250 0.610
Pt 0.250 0.250 0.697
Pt 0.250 0.250 0.787
Pt 0.750 0.750 0.213
Pt 0.750 0.750 0.303
Pt 0.750 0.750 0.390
Pt 0.750 0.750 0.478
Pt 0.750 0.750 0.566
Pt 0.750 0.750 0.653
Pt 0.750 0.750 0.741